For MoC4O4F6, the GGA+U geometry in Alexandria gives the theoretical XRD peak list in this record (CuKα).
Lines closer than 0.1° are merged.

Most intense lines, 2θ = 10–90°, by intensity:
2θ = 10.46°, 8.460 Å, I 1000, hkl 0 1 0; 2θ = 21.56°, 4.121 Å, I 976, hkl 0 1 2; 2θ = 13.95°, 6.349 Å, I 816, hkl 0 1 1; 2θ = 22.31°, 3.985 Å, I 633, hkl 1 -1 1; 2θ = 20.36°, 4.363 Å, I 424, hkl 1 -1 0; 2θ = 23.37°, 3.806 Å, I 400, hkl 0 2 -1; 2θ = 35.42°, 2.534 Å, I 365, hkl 0 2 3; 2θ = 17.80°, 4.983 Å, I 336, hkl 1 1 0; 2θ = 14.38°, 6.160 Å, I 329, hkl 0 1 -1; 2θ = 15.96°, 5.553 Å, I 322, hkl 1 0 0

Crystal structure
```
MoC4O4F6
1.0
5.620 0.000 0.000
1.248 8.464 0.000
0.515 0.281 9.280
Mo C O F
2 8 8 12
Direct
0.154 0.065 0.462 Mo
0.846 0.935 0.538 Mo
0.030 0.854 0.243 C
0.037 0.773 0.096 C
0.310 0.757 0.622 C
0.485 0.626 0.695 C
0.515 0.374 0.305 C
0.690 0.243 0.378 C
0.963 0.227 0.904 C
0.970 0.146 0.757 C
0.088 0.746 0.632 O
0.130 0.180 0.664 O
0.182 0.948 0.260 O
0.403 0.871 0.559 O
0.597 0.129 0.441 O
0.818 0.052 0.740 O
0.870 0.820 0.336 O
0.912 0.254 0.368 O
0.123 0.617 0.112 F
0.180 0.837 0.996 F
0.187 0.214 0.953 F
0.340 0.437 0.403 F
0.372 0.508 0.752 F
0.405 0.311 0.199 F
0.595 0.689 0.801 F
0.628 0.492 0.248 F
0.660 0.563 0.597 F
0.813 0.786 0.047 F
0.820 0.163 0.004 F
0.877 0.383 0.888 F
```